[1]
# V5CoO12
Theoretical powder XRD pattern, Cu Kα (λ = 1.5418 Å). Input: DFT lattice parameters and positions (GGA+U).
No peak broadening, texture or thermal motion is included.

Structural model:
Cell lengths 5.8410, 6.7814, 6.8523 Å; angles 84.01, 75.79, 74.19 degrees
Element x y z (fractional)
V 0.0000 0.0000 0.0000
V 0.0022 0.4030 0.4074
V 0.4917 0.1841 0.8193
V 0.4987 0.5908 0.2163
V 0.5097 0.7137 0.6915
Co 0.0169 0.8762 0.5246
O 0.0027 0.8788 0.2255
O 0.0144 0.1728 0.5350
O 0.1223 0.8294 0.8088
O 0.1946 0.1729 0.9594
O 0.2985 0.4143 0.2735
O 0.3924 0.7504 0.4365
O 0.4760 0.4211 0.7109
O 0.5432 0.7007 0.9725
O 0.5991 0.9924 0.6467
O 0.6926 0.1353 0.9879
O 0.8075 0.4309 0.2425
O 0.8804 0.6116 0.5693

The 10 most intense peaks (2θ = 10–90°), low angle first:
| d/Å | I (rel.) | (hkl) |
| --- | --- | --- |
| 4.848 | 23 | 1 1 0 |
| 4.789 | 23 | 1 0 1 |
| 4.560 | 50 | 0 1 -1 |
| 3.819 | 14 | 1 0 -1 |
| 3.178 | 100 | 1 2 0 |
| 3.007 | 32 | 0 1 2 |
| 2.974 | 32 | 0 2 1 |
| 2.737 | 45 | 2 0 0 |
| 2.589 | 13 | 1 0 -2 |
| 2.028 | 25 | 1 3 -1 |

[2]
# V2P2H2O11
Theoretical powder XRD pattern, Cu Kα (λ = 1.5418 Å). Input: DFT lattice parameters and positions (GGA+U).
No peak broadening, texture or thermal motion is included.

Structural model:
Cell lengths 7.4154, 9.4451, 5.8614 Å; angles 90.00, 90.00, 90.00 degrees
Element x y z (fractional)
V 0.0401 0.2500 0.0154
V 0.4599 0.2500 0.0154
V 0.5401 0.7500 0.9846
V 0.9599 0.7500 0.9846
P 0.2500 0.5190 0.7635
P 0.2500 0.9810 0.7635
P 0.7500 0.0190 0.2365
P 0.7500 0.4810 0.2365
H 0.2500 0.1598 0.3931
H 0.2500 0.3402 0.3931
H 0.7500 0.6598 0.6069
H 0.7500 0.8402 0.6069
O 0.0478 0.7500 0.2348
O 0.0791 0.6057 0.8335
O 0.0791 0.8943 0.8335
O 0.2500 0.0203 0.5186
O 0.2500 0.1143 0.9317
O 0.2500 0.2500 0.2934
O 0.2500 0.3857 0.9317
O 0.2500 0.4797 0.5186
O 0.4209 0.6057 0.8335
O 0.4209 0.8943 0.8335
O 0.4522 0.7500 0.2348
O 0.5478 0.2500 0.7652
O 0.5791 0.1057 0.1665
O 0.5791 0.3943 0.1665
O 0.7500 0.5203 0.4814
O 0.7500 0.6143 0.0683
O 0.7500 0.7500 0.7066
O 0.7500 0.8857 0.0683
O 0.7500 0.9797 0.4814
O 0.9209 0.1057 0.1665
O 0.9209 0.3943 0.1665
O 0.9522 0.2500 0.7652

The 10 most intense peaks (2θ = 10–90°), low angle first:
| d/Å | I (rel.) | (hkl) |
| --- | --- | --- |
| 5.858 | 100 | 0 0 1 |
| 4.598 | 35 | 1 0 1 |
| 3.677 | 40 | 0 2 1 |
| 3.295 | 50 | 1 2 1 |
| 3.133 | 26 | 2 0 1 |
| 2.916 | 57 | 2 2 0 |
| 2.611 | 11 | 2 2 1 |
| 1.886 | 14 | 2 4 1 |
| 1.853 | 11 | 3 1 2 |
| 1.310 | 12 | 2 2 4 |